For CaHoPdO4, DFT lattice parameters and positions (GGA-PBE) gives the theoretical XRD peak list in this record (Cu Kα).
No peak broadening, texture or thermal motion is included.

Atomic structure:
```
data_CaHoPdO4
_chemical_formula_sum 'Ca4 Ho4 Pd4 O16'
_cell_length_a 6.943
_cell_length_b 7.303
_cell_length_c 7.803
_cell_angle_alpha 90.00
_cell_angle_beta 90.00
_cell_angle_gamma 90.00
_space_group_name_H-M_alt 'I m m a'
_space_group_IT_number 74
_space_group_name_Hall '-I 2b 2'
loop_
_atom_site_label
_atom_site_type_symbol
_atom_site_fract_x
_atom_site_fract_y
_atom_site_fract_z
Ca1 Ca 0.000 0.250 0.182
Ho1 Ho 0.250 0.250 0.750
Pd1 Pd 0.000 0.000 0.500
O1 O 0.000 0.053 0.759
O2 O 0.191 0.250 0.462
```

Main lines, sorted by position (10 to 90 degrees two-theta):
| Position (°2θ) | Rel. int. | h k l |
| --- | --- | --- |
| 16.63 | 100.0 | 0 1 1 |
| 17.09 | 64.1 | 1 0 1 |
| 29.92 | 39.8 | 1 2 1 |
| 30.73 | 98.9 | 2 1 1 |
| 33.62 | 67.5 | 0 2 2 |
| 34.59 | 37.5 | 2 0 2 |
| 35.69 | 76.4 | 2 2 0 |
| 45.30 | 32.4 | 2 1 3 |
| 47.06 | 43.4 | 2 3 1 |
| 60.01 | 41.7 | 2 2 4 |